Entry 1:
Calculated powder XRD pattern
Compound: Sr8Ca3
Radiation: a wavelength of 1.5418 Å
Structure: a cell relaxed with PBE

Principal peaks in the range 15 to 90 degrees two-theta, most intense first:
2θ 26.2, I = 1000; 2θ 30.4, I = 340; 2θ 51.5, I = 298; 2θ 43.4, I = 250; 2θ 30.3, I = 173; 2θ 51.3, I = 151; 2θ 53.9, I = 130; 2θ 43.5, I = 124; 2θ 69.5, I = 120; 2θ 71.7, I = 82; 2θ 69.7, I = 59; 2θ 71.5, I = 55

```
data_Sr8Ca3
_cell_length_a 7.2113
_cell_length_b 7.2113
_cell_length_c 14.9835
_cell_angle_alpha 103.86
_cell_angle_beta 103.86
_cell_angle_gamma 48.37
_symmetry_space_group_name_H-M 'P 1'
_symmetry_Int_Tables_number 1
loop_
_symmetry_equiv_pos_as_xyz
'x,y,z'
loop_
_atom_site_label
_atom_site_fract_x
_atom_site_fract_y
_atom_site_fract_z
Sr1 0.0460 0.0460 0.3173
Sr2 0.1343 0.1343 0.9553
Sr3 0.2275 0.2275 0.5915
Sr4 0.3188 0.3188 0.2267
Sr5 0.6812 0.6812 0.7733
Sr6 0.7725 0.7725 0.4085
Sr7 0.8657 0.8657 0.0447
Sr8 0.9540 0.9540 0.6827
Ca1 0.4095 0.4095 0.8667
Ca2 0.5000 0.5000 0.5000
Ca3 0.5905 0.5905 0.1333
```



Entry 2:
Calculated powder XRD pattern
Compound: SrCa
Radiation: a wavelength of 1.5418 Å
Structure: a cell relaxed with PBE

Principal peaks in the range 15 to 90 degrees two-theta, most intense first:
2θ 27.5, I = 1000; 2θ 29.7, I = 987; 2θ 25.5, I = 622; 2θ 26.7, I = 489; 2θ 52.5, I = 429; 2θ 44.3, I = 382; 2θ 40.5, I = 258; 2θ 50.4, I = 233; 2θ 33.8, I = 175; 2θ 46.3, I = 173; 2θ 54.2, I = 171; 2θ 52.9, I = 154

```
data_SrCa
_cell_length_a 4.0914
_cell_length_b 4.0914
_cell_length_c 13.5603
_cell_angle_alpha 98.75
_cell_angle_beta 98.75
_cell_angle_gamma 59.95
_symmetry_space_group_name_H-M 'P 1'
_symmetry_Int_Tables_number 1
loop_
_symmetry_equiv_pos_as_xyz
'x,y,z'
loop_
_atom_site_label
_atom_site_fract_x
_atom_site_fract_y
_atom_site_fract_z
Sr1 0.2100 0.2100 0.1332
Sr2 0.7900 0.7900 0.8668
Ca1 0.3726 0.3726 0.6169
Ca2 0.6274 0.6274 0.3831
```



Entry 3:
Calculated powder XRD pattern
Compound: Sr6Ca
Radiation: a wavelength of 1.5418 Å
Structure: a cell relaxed with PBE

Principal peaks in the range 15 to 90 degrees two-theta, most intense first:
2θ 25.9, I = 1000; 2θ 29.8, I = 175; 2θ 30.0, I = 173; 2θ 30.2, I = 167; 2θ 51.1, I = 147; 2θ 43.0, I = 125; 2θ 43.1, I = 124; 2θ 50.6, I = 115; 2θ 50.8, I = 115; 2θ 53.4, I = 66; 2θ 42.7, I = 65; 2θ 53.2, I = 65

```
data_Sr6Ca
_cell_length_a 4.2183
_cell_length_b 9.3569
_cell_length_c 10.3262
_cell_angle_alpha 110.87
_cell_angle_beta 90.33
_cell_angle_gamma 103.03
_symmetry_space_group_name_H-M 'P 1'
_symmetry_Int_Tables_number 1
loop_
_symmetry_equiv_pos_as_xyz
'x,y,z'
loop_
_atom_site_label
_atom_site_fract_x
_atom_site_fract_y
_atom_site_fract_z
Sr1 0.0711 0.1417 0.2211
Sr2 0.2098 0.4198 0.6407
Sr3 0.3582 0.7167 0.0703
Sr4 0.6418 0.2833 0.9297
Sr5 0.7902 0.5802 0.3593
Sr6 0.9289 0.8583 0.7789
Ca1 0.5000 0.0000 0.5000
```



Entry 4:
Calculated powder XRD pattern
Compound: SrCa
Radiation: a wavelength of 1.5418 Å
Structure: a cell relaxed with PBE

Principal peaks in the range 15 to 90 degrees two-theta, most intense first:
2θ 27.6, I = 1000; 2θ 48.8, I = 394; 2θ 78.3, I = 188; 2θ 39.5, I = 187; 2θ 64.5, I = 166; 2θ 19.4, I = 133; 2θ 57.0, I = 122; 2θ 44.3, I = 70; 2θ 34.0, I = 47; 2θ 71.6, I = 40; 2θ 60.8, I = 36; 2θ 88.2, I = 24

```
data_SrCa
_cell_length_a 4.5676
_cell_length_b 4.5676
_cell_length_c 4.5676
_cell_angle_alpha 90.00
_cell_angle_beta 90.00
_cell_angle_gamma 90.00
_symmetry_space_group_name_H-M 'P 1'
_symmetry_Int_Tables_number 1
loop_
_symmetry_equiv_pos_as_xyz
'x,y,z'
loop_
_atom_site_label
_atom_site_fract_x
_atom_site_fract_y
_atom_site_fract_z
Sr1 0.0000 0.0000 0.0000
Ca1 0.5000 0.5000 0.5000
```



Entry 5:
Calculated powder XRD pattern
Compound: Sr12Ca17
Radiation: a wavelength of 1.5418 Å
Structure: a cell relaxed with PBE

Principal peaks in the range 15 to 90 degrees two-theta, most intense first:
2θ 27.0, I = 1000; 2θ 29.9, I = 615; 2θ 32.6, I = 400; 2θ 45.8, I = 265; 2θ 15.5, I = 265; 2θ 47.7, I = 252; 2θ 55.6, I = 134; 2θ 51.3, I = 125; 2θ 31.3, I = 121; 2θ 25.4, I = 119; 2θ 48.6, I = 116; 2θ 61.3, I = 105

```
data_Sr12Ca17
_cell_length_a 12.1392
_cell_length_b 12.1392
_cell_length_c 12.1392
_cell_angle_alpha 109.47
_cell_angle_beta 109.47
_cell_angle_gamma 109.47
_symmetry_space_group_name_H-M 'P 1'
_symmetry_Int_Tables_number 1
loop_
_symmetry_equiv_pos_as_xyz
'x,y,z'
loop_
_atom_site_label
_atom_site_fract_x
_atom_site_fract_y
_atom_site_fract_z
Sr1 0.0000 0.1935 0.3827
Sr2 0.0000 0.3827 0.1935
Sr3 0.1892 0.8065 0.8065
Sr4 0.1935 0.0000 0.3827
Sr5 0.1935 0.3827 0.0000
Sr6 0.3827 0.0000 0.1935
Sr7 0.3827 0.1935 0.0000
Sr8 0.6173 0.6173 0.8108
Sr9 0.6173 0.8108 0.6173
Sr10 0.8065 0.1892 0.8065
Sr11 0.8065 0.8065 0.1892
Sr12 0.8108 0.6173 0.6173
Ca1 0.0000 0.0000 0.0000
Ca2 0.0000 0.0000 0.6333
Ca3 0.0000 0.4103 0.6834
Ca4 0.0000 0.6333 0.0000
Ca5 0.0000 0.6834 0.4103
Ca6 0.2731 0.5897 0.5897
Ca7 0.3166 0.3166 0.7269
Ca8 0.3166 0.7269 0.3166
Ca9 0.3667 0.3667 0.3667
Ca10 0.4103 0.0000 0.6834
Ca11 0.4103 0.6834 0.0000
Ca12 0.5897 0.2731 0.5897
Ca13 0.5897 0.5897 0.2731
Ca14 0.6333 0.0000 0.0000
Ca15 0.6834 0.0000 0.4103
Ca16 0.6834 0.4103 0.0000
Ca17 0.7269 0.3166 0.3166
```



Entry 6:
Calculated powder XRD pattern
Compound: Sr4Ca11
Radiation: a wavelength of 1.5418 Å
Structure: a cell relaxed with PBE

Principal peaks in the range 15 to 90 degrees two-theta, most intense first:
2θ 29.5, I = 1000; 2θ 26.7, I = 648; 2θ 30.2, I = 427; 2θ 28.6, I = 425; 2θ 27.5, I = 348; 2θ 24.6, I = 290; 2θ 27.9, I = 287; 2θ 46.4, I = 269; 2θ 23.0, I = 180; 2θ 43.4, I = 174; 2θ 46.9, I = 172; 2θ 48.1, I = 163

```
data_Sr4Ca11
_cell_length_a 13.7633
_cell_length_b 13.7633
_cell_length_c 7.2370
_cell_angle_alpha 90.00
_cell_angle_beta 90.00
_cell_angle_gamma 90.00
_symmetry_space_group_name_H-M 'P 1'
_symmetry_Int_Tables_number 1
loop_
_symmetry_equiv_pos_as_xyz
'x,y,z'
loop_
_atom_site_label
_atom_site_fract_x
_atom_site_fract_y
_atom_site_fract_z
Sr1 0.0406 0.3645 0.0000
Sr2 0.1355 0.5406 0.5000
Sr3 0.3645 0.0406 0.0000
Sr4 0.4594 0.8645 0.5000
Sr5 0.5406 0.1355 0.5000
Sr6 0.6355 0.9594 0.0000
Sr7 0.8645 0.4594 0.5000
Sr8 0.9594 0.6355 0.0000
Ca1 0.0000 0.0000 0.5000
Ca2 0.0696 0.2570 0.5000
Ca3 0.0959 0.0959 0.0000
Ca4 0.1782 0.8218 0.2483
Ca5 0.1782 0.8218 0.7517
Ca6 0.2430 0.5696 0.0000
Ca7 0.2570 0.0696 0.5000
Ca8 0.3218 0.3218 0.2517
Ca9 0.3218 0.3218 0.7483
Ca10 0.4041 0.5959 0.5000
Ca11 0.4304 0.7570 0.0000
Ca12 0.5000 0.5000 0.0000
Ca13 0.5696 0.2430 0.0000
Ca14 0.5959 0.4041 0.5000
Ca15 0.6782 0.6782 0.2517
Ca16 0.6782 0.6782 0.7483
Ca17 0.7430 0.9304 0.5000
Ca18 0.7570 0.4304 0.0000
Ca19 0.8218 0.1782 0.2483
Ca20 0.8218 0.1782 0.7517
Ca21 0.9041 0.9041 0.0000
Ca22 0.9304 0.7430 0.5000
```



Entry 7:
Calculated powder XRD pattern
Compound: Sr3Ca8
Radiation: a wavelength of 1.5418 Å
Structure: a cell relaxed with PBE

Principal peaks in the range 15 to 90 degrees two-theta, most intense first:
2θ 21.5, I = 1000; 2θ 35.6, I = 974; 2θ 25.9, I = 692; 2θ 22.9, I = 669; 2θ 30.7, I = 636; 2θ 28.9, I = 472; 2θ 17.8, I = 331; 2θ 28.7, I = 326; 2θ 51.7, I = 292; 2θ 55.4, I = 261; 2θ 45.1, I = 249; 2θ 34.0, I = 239

```
data_Sr3Ca8
_cell_length_a 8.3715
_cell_length_b 8.3715
_cell_length_c 8.3715
_cell_angle_alpha 95.98
_cell_angle_beta 95.98
_cell_angle_gamma 95.98
_symmetry_space_group_name_H-M 'P 1'
_symmetry_Int_Tables_number 1
loop_
_symmetry_equiv_pos_as_xyz
'x,y,z'
loop_
_atom_site_label
_atom_site_fract_x
_atom_site_fract_y
_atom_site_fract_z
Sr1 0.0000 0.5000 0.5000
Sr2 0.5000 0.0000 0.5000
Sr3 0.5000 0.5000 0.0000
Ca1 0.0436 0.6936 0.9332
Ca2 0.0668 0.9565 0.3064
Ca3 0.3064 0.0668 0.9564
Ca4 0.3567 0.3567 0.3567
Ca5 0.6433 0.6433 0.6433
Ca6 0.6936 0.9332 0.0435
Ca7 0.9332 0.0436 0.6936
Ca8 0.9565 0.3064 0.0668
```



Entry 8:
Calculated powder XRD pattern
Compound: Sr7Ca6
Radiation: a wavelength of 1.5418 Å
Structure: a cell relaxed with PBE

Principal peaks in the range 15 to 90 degrees two-theta, most intense first:
2θ 27.2, I = 1000; 2θ 48.0, I = 463; 2θ 29.4, I = 458; 2θ 28.4, I = 265; 2θ 31.5, I = 259; 2θ 56.0, I = 216; 2θ 27.5, I = 168; 2θ 44.4, I = 154; 2θ 43.5, I = 131; 2θ 76.7, I = 118; 2θ 28.6, I = 115; 2θ 89.5, I = 109

```
data_Sr7Ca6
_cell_length_a 13.8551
_cell_length_b 13.8551
_cell_length_c 13.8551
_cell_angle_alpha 31.79
_cell_angle_beta 31.79
_cell_angle_gamma 31.79
_symmetry_space_group_name_H-M 'P 1'
_symmetry_Int_Tables_number 1
loop_
_symmetry_equiv_pos_as_xyz
'x,y,z'
loop_
_atom_site_label
_atom_site_fract_x
_atom_site_fract_y
_atom_site_fract_z
Sr1 0.0000 0.0000 0.0000
Sr2 0.0886 0.0886 0.5829
Sr3 0.0886 0.5829 0.0886
Sr4 0.4171 0.9114 0.9114
Sr5 0.5829 0.0886 0.0886
Sr6 0.9114 0.4171 0.9114
Sr7 0.9114 0.9114 0.4171
Ca1 0.1666 0.1666 0.1666
Ca2 0.3517 0.3517 0.3517
Ca3 0.4539 0.4539 0.4539
Ca4 0.5461 0.5461 0.5461
Ca5 0.6483 0.6483 0.6483
Ca6 0.8334 0.8334 0.8334
```



Entry 9:
Calculated powder XRD pattern
Compound: SrCaTb
Radiation: a wavelength of 1.5418 Å
Structure: a cell relaxed with PBE

Principal peaks in the range 15 to 90 degrees two-theta, most intense first:
2θ 28.1, I = 1000; 2θ 32.6, I = 397; 2θ 55.5, I = 292; 2θ 31.6, I = 190; 2θ 46.7, I = 145; 2θ 46.8, I = 143; 2θ 35.6, I = 116; 2θ 23.5, I = 108; 2θ 32.4, I = 101; 2θ 77.7, I = 95; 2θ 34.4, I = 81; 2θ 58.1, I = 75

```
data_SrCaTb
_cell_length_a 3.8843
_cell_length_b 3.8843
_cell_length_c 16.5612
_cell_angle_alpha 90.00
_cell_angle_beta 90.00
_cell_angle_gamma 90.00
_symmetry_space_group_name_H-M 'P 1'
_symmetry_Int_Tables_number 1
loop_
_symmetry_equiv_pos_as_xyz
'x,y,z'
loop_
_atom_site_label
_atom_site_fract_x
_atom_site_fract_y
_atom_site_fract_z
Sr1 0.2500 0.2500 0.0991
Sr2 0.7500 0.7500 0.9009
Ca1 0.2500 0.2500 0.7167
Ca2 0.7500 0.7500 0.2833
Tb1 0.2500 0.2500 0.4360
Tb2 0.7500 0.7500 0.5640
```



Entry 10:
Calculated powder XRD pattern
Compound: SrCa2Tc
Radiation: a wavelength of 1.5418 Å
Structure: a cell relaxed with PBE

Principal peaks in the range 15 to 90 degrees two-theta, most intense first:
2θ 30.5, I = 1000; 2θ 35.2, I = 448; 2θ 17.6, I = 334; 2θ 43.8, I = 307; 2θ 60.3, I = 268; 2θ 39.6, I = 173; 2θ 24.7, I = 160; 2θ 50.7, I = 152; 2θ 69.2, I = 152; 2θ 66.6, I = 127; 2θ 50.9, I = 105; 2θ 36.5, I = 99

```
data_SrCa2Tc
_cell_length_a 3.6030
_cell_length_b 3.6030
_cell_length_c 10.0969
_cell_angle_alpha 90.00
_cell_angle_beta 90.00
_cell_angle_gamma 90.00
_symmetry_space_group_name_H-M 'P 1'
_symmetry_Int_Tables_number 1
loop_
_symmetry_equiv_pos_as_xyz
'x,y,z'
loop_
_atom_site_label
_atom_site_fract_x
_atom_site_fract_y
_atom_site_fract_z
Sr1 0.0000 0.0000 0.0000
Ca1 0.5000 0.5000 0.3270
Ca2 0.5000 0.5000 0.6730
Tc1 0.0000 0.0000 0.5000
```



Entry 11:
Calculated powder XRD pattern
Compound: Sr2CaTe
Radiation: a wavelength of 1.5418 Å
Structure: a cell relaxed with PBE

Principal peaks in the range 15 to 90 degrees two-theta, most intense first:
2θ 26.6, I = 1000; 2θ 32.2, I = 395; 2θ 32.4, I = 324; 2θ 33.0, I = 283; 2θ 25.1, I = 265; 2θ 25.3, I = 238; 2θ 46.9, I = 225; 2θ 41.4, I = 196; 2θ 55.1, I = 193; 2θ 48.2, I = 178; 2θ 40.4, I = 159; 2θ 53.1, I = 141

```
data_Sr2CaTe
_cell_length_a 4.4612
_cell_length_b 7.5451
_cell_length_c 7.5451
_cell_angle_alpha 42.23
_cell_angle_beta 90.00
_cell_angle_gamma 90.00
_symmetry_space_group_name_H-M 'P 1'
_symmetry_Int_Tables_number 1
loop_
_symmetry_equiv_pos_as_xyz
'x,y,z'
loop_
_atom_site_label
_atom_site_fract_x
_atom_site_fract_y
_atom_site_fract_z
Sr1 0.0000 0.0000 0.0000
Sr2 0.5000 0.3129 0.3129
Ca1 0.5000 0.6047 0.6047
Te1 0.0000 0.7627 0.7627
```



Entry 12:
Calculated powder XRD pattern
Compound: Sr3Ca5Tl2
Radiation: a wavelength of 1.5418 Å
Structure: a cell relaxed with PBE

Principal peaks in the range 15 to 90 degrees two-theta, most intense first:
2θ 28.4, I = 1000; 2θ 33.6, I = 628; 2θ 31.1, I = 579; 2θ 16.6, I = 414; 2θ 16.1, I = 366; 2θ 22.8, I = 328; 2θ 57.0, I = 273; 2θ 44.9, I = 262; 2θ 41.0, I = 258; 2θ 80.3, I = 145; 2θ 29.9, I = 145; 2θ 19.5, I = 126

```
data_Sr3Ca5Tl2
_cell_length_a 12.3328
_cell_length_b 12.3328
_cell_length_c 5.3266
_cell_angle_alpha 90.00
_cell_angle_beta 90.00
_cell_angle_gamma 90.00
_symmetry_space_group_name_H-M 'P 1'
_symmetry_Int_Tables_number 1
loop_
_symmetry_equiv_pos_as_xyz
'x,y,z'
loop_
_atom_site_label
_atom_site_fract_x
_atom_site_fract_y
_atom_site_fract_z
Sr1 0.0000 0.0000 0.0000
Sr2 0.1686 0.3314 0.0000
Sr3 0.3314 0.8314 0.0000
Sr4 0.5000 0.5000 0.0000
Sr5 0.6686 0.1686 0.0000
Sr6 0.8314 0.6686 0.0000
Ca1 0.0000 0.5000 0.5000
Ca2 0.0763 0.7832 0.5000
Ca3 0.2168 0.0763 0.5000
Ca4 0.2832 0.5763 0.5000
Ca5 0.4237 0.2832 0.5000
Ca6 0.5000 0.0000 0.5000
Ca7 0.5763 0.7168 0.5000
Ca8 0.7168 0.4237 0.5000
Ca9 0.7832 0.9237 0.5000
Ca10 0.9237 0.2168 0.5000
Tl1 0.1229 0.6229 0.0000
Tl2 0.3771 0.1229 0.0000
Tl3 0.6229 0.8771 0.0000
Tl4 0.8771 0.3771 0.0000
```



Entry 13:
Calculated powder XRD pattern
Compound: Sr3CaTl2
Radiation: a wavelength of 1.5418 Å
Structure: a cell relaxed with PBE

Principal peaks in the range 15 to 90 degrees two-theta, most intense first:
2θ 29.2, I = 1000; 2θ 30.6, I = 545; 2θ 53.5, I = 368; 2θ 34.1, I = 334; 2θ 43.8, I = 204; 2θ 56.6, I = 159; 2θ 56.8, I = 134; 2θ 50.9, I = 113; 2θ 31.3, I = 110; 2θ 22.5, I = 97; 2θ 87.8, I = 94; 2θ 72.3, I = 92

```
data_Sr3CaTl2
_cell_length_a 4.1336
_cell_length_b 4.1336
_cell_length_c 13.6407
_cell_angle_alpha 90.00
_cell_angle_beta 90.00
_cell_angle_gamma 90.00
_symmetry_space_group_name_H-M 'P 1'
_symmetry_Int_Tables_number 1
loop_
_symmetry_equiv_pos_as_xyz
'x,y,z'
loop_
_atom_site_label
_atom_site_fract_x
_atom_site_fract_y
_atom_site_fract_z
Sr1 0.0000 0.0000 0.0000
Sr2 0.0000 0.0000 0.2915
Sr3 0.0000 0.0000 0.7085
Ca1 0.5000 0.5000 0.5000
Tl1 0.5000 0.5000 0.1511
Tl2 0.5000 0.5000 0.8489
```